Starting from the PBE geometry in the Materials Project, the X-ray diffraction stick pattern of ZrCrCuS4 was calculated for a wavelength of 1.5418 Å.
Peak positions follow from Bragg's law for the DFT cell and can differ from measured ones.

```
ZrCrCuS4
1.0
6.059 0.000 0.000
0.000 3.583 0.000
-0.045 0.000 11.694
Zr Cr Cu S
2 2 2 8
direct
0.018 0.000 0.255
0.982 0.000 0.745
0.488 0.500 0.242
0.512 0.500 0.758
0.000 0.000 0.000
0.500 0.500 0.500
0.174 0.500 0.874
0.182 0.500 0.383
0.344 0.000 0.123
0.356 0.000 0.639
0.644 0.000 0.361
0.656 0.000 0.877
0.818 0.500 0.617
0.826 0.500 0.126
```

Most intense lines, 15° ≤ 2θ ≤ 90°, most intense first:
d (Å)	I_rel
2.122	100
2.726	49
3.084	41
1.759	38
5.383	32
5.847	31
1.791	26
2.108	25
2.694	24
2.100	21